Simulated powder diffractogram of Ac2LaPm2Sm for Cu Kα X-rays, from a DFT-relaxed cell (GGA-PBE, Alexandria).
No peak broadening, texture or thermal motion is included.

Top 6 peaks for 2θ from 15° to 90°, in order of rising 2θ:
29.65 deg, rel. 100; 29.88 deg, rel. 36; 29.99 deg, rel. 71; 42.61 deg, rel. 26; 53.04 deg, rel. 27; 58.64 deg, rel. 22

Atomic structure:
```
data_Ac2LaPm2Sm
_chemical_formula_sum 'Ac4 La2 Pm4 Sm2'
_cell_length_a 5.9815
_cell_length_b 10.3108
_cell_length_c 7.4172
_cell_angle_alpha 90.00
_cell_angle_beta 90.00
_cell_angle_gamma 90.00
_symmetry_space_group_name_H-M 'P m c 21'
_symmetry_Int_Tables_number 26
_symmetry_space_group_name_Hall 'P 2c -2'
loop_
_atom_site_label
_atom_site_fract_x
_atom_site_fract_y
_atom_site_fract_z
Ac1 0.0000 0.0003 0.0000
Ac2 0.5000 0.1705 0.2503
La1 0.5000 0.4998 0.9995
Pm1 0.0000 0.3420 0.2495
Pm2 0.5000 0.1748 0.7500
Sm1 0.0000 0.3349 0.7493
```